[1]
Starting from DFT lattice parameters and positions (GGA-PBE), the powder diffractogram of Sb3Mo was simulated for Cu Kα (weighted mean of Kα1 and Kα2).
Kinematic intensities with the Lorentz-polarization factor, no thermal factor.

Top 6 peaks for 10 to 90 degrees two-theta, in order of rising 2θ:
Position (°2θ), d/Å, I (rel.), h k l
21.70, 4.096, 1, 1 1 1
35.80, 2.508, 100, 2 2 0
51.52, 1.774, 17, 4 0 0
64.32, 1.448, 35, 4 2 2
75.86, 1.254, 11, 4 4 0
86.82, 1.122, 16, 6 2 0

Structure:
a b c (Å): 7.0949 7.0949 7.0949
angles (deg): 90.00 90.00 90.00
Space group Fm-3m (No. 225)
One atom of each set of equivalent atoms:
Sb 0.0000 0.0000 0.0000
Sb 0.2500 0.2500 0.2500
Mo 0.0000 0.0000 0.5000

[2]
Starting from DFT lattice parameters and positions (GGA-PBE), the powder diffractogram of CaSbF5 was simulated for Cu Kα (weighted mean of Kα1 and Kα2).
Kinematic intensities with the Lorentz-polarization factor, no thermal factor.

Top 10 peaks for 10 to 90 degrees two-theta, in order of rising 2θ:
Position (°2θ), d/Å, I (rel.), h k l
16.15, 5.490, 60, 1 0 0
20.35, 4.365, 100, 1 1 0
23.76, 3.746, 34, 1 1 2
24.84, 3.584, 56, 0 1 2
24.96, 3.567, 56, 1 0 2
25.23, 3.530, 49, 1 -1 0
32.34, 2.768, 25, 1 2 2
41.37, 2.182, 30, 2 2 0
48.87, 1.864, 25, 2 3 2
49.00, 1.859, 23, 3 2 2

Structure:
a b c (Å): 5.9699 5.9982 8.2936
angles (deg): 69.60 69.89 72.31
Space group P1 (No. 1)
One atom of each set of equivalent atoms:
Ca 0.0000 0.0000 0.0000
Ca 0.0601 0.9396 0.5008
Sb 0.5263 0.4719 0.7478
Sb 0.5340 0.4654 0.2498
F 0.2205 0.7624 0.2033
F 0.2327 0.7871 0.7915
F 0.2601 0.2485 0.8745
F 0.3065 0.2024 0.3734
F 0.3996 0.6028 0.5044
F 0.6525 0.3458 0.0070
F 0.7527 0.7370 0.1180
F 0.7965 0.6941 0.6188
F 0.8297 0.1507 0.7094
F 0.8540 0.1610 0.2871

[3]
Starting from DFT lattice parameters and positions (GGA-PBE), the powder diffractogram of ScBr2O7 was simulated for Cu Kα (weighted mean of Kα1 and Kα2).
Kinematic intensities with the Lorentz-polarization factor, no thermal factor.

Top 10 peaks for 10 to 90 degrees two-theta, in order of rising 2θ:
Position (°2θ), d/Å, I (rel.), h k l
14.90, 5.947, 39, 0 2 0
19.56, 4.538, 35, 2 0 0
20.95, 4.240, 55, 2 1 0
22.53, 3.946, 100, 1 2 1
25.10, 3.548, 53, 2 1 1
27.52, 3.241, 78, 0 0 2
28.16, 3.169, 48, 1 3 1
33.54, 2.672, 48, 3 1 1
36.08, 2.489, 38, 3 2 1
41.65, 2.168, 38, 1 5 1

Structure:
a b c (Å): 9.0767 11.8933 6.4817
angles (deg): 90.00 90.00 90.00
Space group Pnnm (No. 58)
One atom of each set of equivalent atoms:
Sc 0.0974 0.0994 0.0000
Br 0.1338 0.2620 0.5000
Br 0.2419 0.8691 0.5000
O 0.0691 0.1892 0.2922
O 0.1163 0.9375 0.0000
O 0.1449 0.6111 0.0000
O 0.1829 0.5561 0.1719
O 0.2083 0.7233 0.5000

[4]
Starting from DFT lattice parameters and positions (GGA-PBE), the powder diffractogram of Tm2Ti2O7 was simulated for Cu Kα (weighted mean of Kα1 and Kα2).
Kinematic intensities with the Lorentz-polarization factor, no thermal factor.

Top 10 peaks for 10 to 90 degrees two-theta, in order of rising 2θ:
Position (°2θ), d/Å, I (rel.), h k l
15.22, 5.822, 34, 1 1 1
29.37, 3.041, 19, 3 1 1
30.71, 2.911, 100, 2 2 2
35.61, 2.521, 30, 4 0 0
38.93, 2.314, 22, 3 3 1
46.81, 1.941, 11, 5 1 1
51.25, 1.783, 48, 4 4 0
60.94, 1.520, 41, 6 2 2
83.59, 1.157, 17, 6 6 2
86.27, 1.127, 13, 8 4 0

Structure:
a b c (Å): 10.0846 10.0846 10.0846
angles (deg): 90.00 90.00 90.00
Space group Fd-3m (No. 227, origin choice 2)
One atom of each set of equivalent atoms:
Tm 0.0000 0.0000 0.0000
Ti 0.0000 0.0000 0.5000
O 0.0825 0.3750 0.8750
O 0.1250 0.1250 0.1250

> Which formula does entry 1 have?

Sb3Mo